Computed PXRD pattern of TmAl8Pd4 for CuKα, from a crystal structure in Alexandria, relaxed with GGA-PBE.
Neutral-atom scattering factors, no anomalous dispersion.

```
TmAl8Pd4
1.0
-4.410 4.410 2.717
4.410 -4.410 2.717
4.410 4.410 -2.717
Tm Al Pd
1 8 4
direct
0.000 0.000 0.000
0.000 0.348 0.348
0.000 0.652 0.652
0.281 0.500 0.781
0.348 0.000 0.348
0.500 0.281 0.781
0.500 0.719 0.219
0.652 0.000 0.652
0.719 0.500 0.219
0.000 0.000 0.500
0.000 0.500 0.000
0.500 0.000 0.000
0.500 0.500 0.500
```

Peak list (10 most intense, 2θ = 10–80°, by angle)
2θ 14.2, I 21; 2θ 19.2, I 22; 2θ 20.1, I 35; 2θ 27.9, I 29; 2θ 28.6, I 60; 2θ 38.9, I 100; 2θ 40.4, I 35; 2θ 40.9, I 53; 2θ 44.2, I 27; 2θ 57.8, I 43